For Li5FeO4F, a cell relaxed with GGA+U gives the computed powder XRD pattern in this record (Cu Kα X-rays).
No peak broadening, texture or thermal motion is included.

Structure:
```
data_Li5FeO4F
_chemical_formula_sum 'Li10 Fe2 O8 F2'
_space_group_name_H-M_alt 'P 1 21 1'
_space_group_IT_number 4
_cell_length_a 5.204
_cell_length_b 8.955
_cell_length_c 5.252
_cell_angle_alpha 90.00
_cell_angle_beta 111.96
_cell_angle_gamma 90.00
loop_
_space_group_symop_operation_xyz
'x,y,z'
'-x,y+1/2,-z'
loop_
_atom_site_label
_atom_site_type_symbol
_atom_site_fract_x
_atom_site_fract_y
_atom_site_fract_z
Li1 Li 0.171 0.000 0.018
Li2 Li 0.175 0.714 0.906
Li3 Li 0.228 0.818 0.412
Li4 Li 0.298 0.190 0.499
Li5 Li 0.315 0.299 0.044
Fe1 Fe 0.248 0.487 0.580
O1 O 0.054 0.020 0.335
O2 O 0.106 0.369 0.280
O3 O 0.429 0.664 0.696
O4 O 0.485 0.851 0.204
F1 F 0.018 0.180 0.830
```

Largest 10 diffraction maxima, by intensity, 2θ = 15–90°:
| 2θ (°) | I/Imax | hkl |
| --- | --- | --- |
| 22.80 | 100 | 1 1 -1 |
| 20.91 | 82 | 1 1 0 |
| 43.31 | 55 | 1 3 1 |
| 20.76 | 52 | 0 1 1 |
| 27.05 | 49 | 0 2 1 |
| 18.21 | 44 | 0 0 1 |
| 41.69 | 27 | 2 0 -2 |
| 38.30 | 25 | 0 1 2 |
| 34.77 | 23 | 2 0 -1 |
| 35.32 | 21 | 1 3 0 |